Entry 1:
The following is a calculated powder diffractogram of HfMg2Tl3Te6. It was derived from a structure optimized by DFT (GGA-PBE), using copper Kα.
Peak positions follow from Bragg's law for the DFT cell and can differ from measured ones.

Principal peaks in the range 15 to 90 degrees two-theta, by angle:
d 3.694, 24.09°, intensity 12; d 3.155, 28.29°, intensity 100; d 2.930, 30.51°, intensity 12; d 2.610, 34.36°, intensity 7; d 2.312, 38.96°, intensity 23; d 2.305, 39.07°, intensity 12; d 2.160, 41.83°, intensity 37; d 1.784, 51.21°, intensity 13; d 1.665, 55.15°, intensity 8; d 1.627, 56.56°, intensity 7; d 1.577, 58.51°, intensity 11; d 1.374, 68.27°, intensity 11

Structure:
```
12
Lattice="3.736 -6.487 0.000 3.736 6.487 0.000 -2.514 0.000 7.831" Properties=species:S:1:pos:R:3 pbc="T T T"
Hf 0.000 0.000 0.000
Mg 3.736 2.156 0.000
Mg 3.736 -2.156 0.000
Tl 2.479 4.328 3.915
Tl 2.479 0.000 3.915
Tl 2.479 -4.328 3.915
Te 1.215 2.106 1.600
Te -0.086 0.000 6.208
Te 1.215 -2.106 1.600
Te 3.742 2.106 6.231
Te 5.043 0.000 1.623
Te 3.742 -2.106 6.231
```

---

Entry 2:
The following is a calculated powder diffractogram of Th7Tl2Au2. It was derived from a structure optimized by DFT (GGA-PBE), using copper Kα.
Peak positions follow from Bragg's law for the DFT cell and can differ from measured ones.

Principal peaks in the range 15 to 90 degrees two-theta, by angle:
d 3.692, 24.11°, intensity 53; d 3.445, 25.86°, intensity 43; d 3.156, 28.28°, intensity 49; d 2.853, 31.35°, intensity 75; d 2.486, 36.13°, intensity 39; d 2.472, 36.34°, intensity 100; d 2.257, 39.94°, intensity 27; d 2.186, 41.31°, intensity 31; d 2.161, 41.80°, intensity 20; d 1.723, 53.17°, intensity 19; d 1.563, 59.11°, intensity 24; d 1.392, 67.24°, intensity 17

Structure:
```
11
Lattice="4.322 -5.706 0.000 4.322 5.706 0.000 0.000 0.000 7.100" Properties=species:S:1:pos:R:3 pbc="T T T"
Th 0.000 0.000 0.000
Th 2.161 2.853 2.017
Th 2.161 2.853 5.083
Th 2.161 -2.853 2.017
Th 2.161 -2.853 5.083
Th 4.322 0.000 1.810
Th 4.322 0.000 5.291
Tl 1.450 0.000 3.550
Tl 7.194 0.000 3.550
Au 4.322 2.641 0.000
Au 4.322 -2.641 0.000
```